# LaBe2Pd6
Theoretical PXRD pattern, Cu Kα (λ = 1.5418 Å). Input: DFT lattice parameters and positions (GGA-PBE).
Intensities are scaled so that the largest is 100.

Largest 8 diffraction maxima, in order of rising 2θ, 10° ≤ 2θ ≤ 90°:
d_spacing	Position (°2θ)	Rel. int.
3.284	27.2	18
2.723	32.9	100
2.499	35.9	20
1.925	47.2	71
1.572	58.7	21
1.418	65.9	13
1.218	78.6	23
1.112	87.8	17

Cell and atoms:
Lattice parameters (Å, degrees): 7.702 7.702 7.702 60.00 60.00 60.00
Fractional coordinates of all 18 atoms:
La (0.125, 0.125, 0.125)
La (0.875, 0.875, 0.875)
Be (0.000, 0.500, 0.500)
Be (0.500, 0.000, 0.500)
Be (0.500, 0.500, 0.000)
Be (0.500, 0.500, 0.500)
Pd (0.146, 0.146, 0.604)
Pd (0.146, 0.604, 0.146)
Pd (0.146, 0.604, 0.604)
Pd (0.396, 0.396, 0.854)
Pd (0.396, 0.854, 0.396)
Pd (0.396, 0.854, 0.854)
Pd (0.604, 0.146, 0.146)
Pd (0.604, 0.146, 0.604)
Pd (0.604, 0.604, 0.146)
Pd (0.854, 0.396, 0.396)
Pd (0.854, 0.396, 0.854)
Pd (0.854, 0.854, 0.396)